# 1
HfZn4N4: calculated powder XRD pattern (Cu Kα (weighted mean of Kα1 and Kα2)), based on a GGA-PBE-relaxed structure.
No peak broadening, texture or thermal motion is included.

Cell and atoms:
a b c (Å): 5.829 5.829 6.785
angles (deg): 90.00 90.00 83.10
Positions (direct):
Hf  0.154  0.846  0.750
Hf  0.846  0.154  0.250
Zn  0.083  0.626  0.250
Zn  0.341  0.341  0.000
Zn  0.341  0.341  0.500
Zn  0.374  0.917  0.250
Zn  0.626  0.083  0.750
Zn  0.659  0.659  0.000
Zn  0.659  0.659  0.500
Zn  0.917  0.374  0.750
N  0.187  0.234  0.250
N  0.234  0.187  0.750
N  0.293  0.707  0.009
N  0.293  0.707  0.491
N  0.707  0.293  0.509
N  0.707  0.293  0.991
N  0.766  0.813  0.250
N  0.813  0.766  0.750

Top 10 peaks for 2θ from 10° to 80°, most intense first:
| two_theta | d (Å) | I_rel |
| --- | --- | --- |
| 35.53 | 2.527 | 100 |
| 30.54 | 2.927 | 84 |
| 35.19 | 2.550 | 61 |
| 33.67 | 2.662 | 44 |
| 36.34 | 2.472 | 42 |
| 54.73 | 1.677 | 37 |
| 52.61 | 1.740 | 33 |
| 32.90 | 2.722 | 33 |
| 26.53 | 3.359 | 27 |
| 54.06 | 1.696 | 25 |



# 2
HfZn8N6: calculated powder XRD pattern (Cu Kα (weighted mean of Kα1 and Kα2)), based on a GGA-PBE-relaxed structure.
No peak broadening, texture or thermal motion is included.

Cell and atoms:
a b c (Å): 5.663 5.663 15.818
angles (deg): 90.00 90.00 120.00
Positions (direct):
Hf  0.000  0.000  0.000
Hf  0.000  0.000  0.500
Zn  0.000  0.307  0.322
Zn  0.000  0.313  0.694
Zn  0.000  0.687  0.194
Zn  0.000  0.693  0.822
Zn  0.307  0.000  0.322
Zn  0.307  0.307  0.822
Zn  0.313  0.000  0.694
Zn  0.313  0.313  0.194
Zn  0.333  0.667  0.465
Zn  0.333  0.667  0.965
Zn  0.667  0.333  0.465
Zn  0.667  0.333  0.965
Zn  0.687  0.000  0.194
Zn  0.687  0.687  0.694
Zn  0.693  0.000  0.822
Zn  0.693  0.693  0.322
N  0.000  0.000  0.132
N  0.000  0.000  0.632
N  0.000  0.327  0.448
N  0.000  0.673  0.948
N  0.327  0.000  0.448
N  0.327  0.327  0.948
N  0.333  0.667  0.244
N  0.333  0.667  0.744
N  0.667  0.333  0.244
N  0.667  0.333  0.744
N  0.673  0.000  0.948
N  0.673  0.673  0.448

Top 10 peaks for 2θ from 10° to 80°, most intense first:
| two_theta | d (Å) | I_rel |
| --- | --- | --- |
| 33.62 | 2.666 | 100 |
| 36.00 | 2.494 | 54 |
| 56.28 | 1.635 | 42 |
| 39.13 | 2.302 | 36 |
| 42.86 | 2.110 | 31 |
| 22.48 | 3.954 | 29 |
| 18.09 | 4.904 | 28 |
| 34.01 | 2.636 | 24 |
| 32.12 | 2.787 | 22 |
| 21.32 | 4.168 | 21 |



# 3
Hf3ZrN4: calculated powder XRD pattern (Cu Kα (weighted mean of Kα1 and Kα2)), based on a GGA-PBE-relaxed structure.
No peak broadening, texture or thermal motion is included.

Cell and atoms:
a b c (Å): 3.204 3.204 21.336
angles (deg): 90.00 90.00 120.00
Positions (direct):
Hf  0.000  0.000  0.000
Hf  0.000  0.000  0.500
Hf  0.333  0.667  0.124
Hf  0.333  0.667  0.376
Hf  0.667  0.333  0.624
Hf  0.667  0.333  0.876
Zr  0.333  0.667  0.750
Zr  0.667  0.333  0.250
N  0.000  0.000  0.182
N  0.000  0.000  0.318
N  0.000  0.000  0.682
N  0.000  0.000  0.818
N  0.333  0.667  0.563
N  0.333  0.667  0.937
N  0.667  0.333  0.063
N  0.667  0.333  0.437

Top 10 peaks for 2θ from 10° to 80°, most intense first:
| two_theta | d (Å) | I_rel |
| --- | --- | --- |
| 36.50 | 2.462 | 100 |
| 34.70 | 2.585 | 99 |
| 38.71 | 2.326 | 88 |
| 33.60 | 2.667 | 73 |
| 57.53 | 1.602 | 65 |
| 68.30 | 1.373 | 60 |
| 41.27 | 2.188 | 54 |
| 33.36 | 2.686 | 51 |
| 58.02 | 1.590 | 32 |
| 61.99 | 1.497 | 23 |



# 4
NaNdHf4O12: calculated powder XRD pattern (Cu Kα (weighted mean of Kα1 and Kα2)), based on a GGA-PBE-relaxed structure.
No peak broadening, texture or thermal motion is included.

Cell and atoms:
a b c (Å): 8.212 5.712 5.712
angles (deg): 89.81 90.00 90.00
Positions (direct):
Na  0.000  0.000  0.000
Nd  0.500  0.480  0.480
Hf  0.240  0.496  0.987
Hf  0.240  0.987  0.496
Hf  0.760  0.496  0.987
Hf  0.760  0.987  0.496
O  0.000  0.011  0.424
O  0.000  0.424  0.011
O  0.205  0.785  0.785
O  0.282  0.277  0.708
O  0.282  0.708  0.277
O  0.307  0.244  0.244
O  0.500  0.534  0.918
O  0.500  0.918  0.534
O  0.693  0.244  0.244
O  0.718  0.277  0.708
O  0.718  0.708  0.277
O  0.795  0.785  0.785

Top 10 peaks for 2θ from 10° to 80°, most intense first:
| two_theta | d (Å) | I_rel |
| --- | --- | --- |
| 31.06 | 2.879 | 100 |
| 22.01 | 4.039 | 65 |
| 31.32 | 2.856 | 49 |
| 21.64 | 4.106 | 32 |
| 55.09 | 1.667 | 22 |
| 55.63 | 1.652 | 22 |
| 55.53 | 1.655 | 21 |
| 18.92 | 4.689 | 17 |
| 44.80 | 2.023 | 15 |
| 50.45 | 1.809 | 14 |